1.
Simulated PXRD pattern of Cu3SnSe4 for Cu Kα X-rays, from a GGA-PBE-relaxed structure.
Intensities are scaled so that the largest is 100.

Structural model:
Lattice parameters (Å, degrees): 5.676 5.676 11.394 90.00 90.00 90.00
Space group I-42m (No. 121)
Unique sites:
Cu 0.000 0.000 0.000 (multiplicity 2)
Cu 0.000 0.500 0.250 (multiplicity 4)
Sn 0.000 0.000 0.500 (multiplicity 2)
Se 0.234 0.234 0.867 (multiplicity 8)

Principal peaks in the range 10 to 80 degrees two-theta, in order of rising 2θ:
| 2θ/deg | I (rel.) | (hkl) |
| --- | --- | --- |
| 27.2 | 100 | 1 1 2 |
| 28.3 | 3 | 1 0 3 |
| 36.3 | 3 | 2 1 1 |
| 45.1 | 73 | 2 2 0 |
| 53.4 | 14 | 1 1 6 |
| 53.5 | 29 | 3 1 2 |
| 65.5 | 4 | 0 0 8 |
| 65.8 | 7 | 4 0 0 |
| 72.5 | 11 | 3 1 6 |
| 72.6 | 5 | 3 3 2 |

2.
Simulated PXRD pattern of TcBiO3 for Cu Kα X-rays, from a GGA-PBE-relaxed structure.
Intensities are scaled so that the largest is 100.

Structural model:
Lattice parameters (Å, degrees): 5.8670 5.8670 12.3760 90.00 90.00 120.00
Space group R-3c (No. 167, hexagonal axes)
Unique sites:
Tc 0.0000 0.0000 0.0000 (multiplicity 6)
Bi 0.0000 0.0000 0.2500 (multiplicity 6)
O 0.0000 0.4007 0.2500 (multiplicity 18)

Principal peaks in the range 10 to 80 degrees two-theta, in order of rising 2θ:
| 2θ/deg | I (rel.) | (hkl) |
| --- | --- | --- |
| 22.6 | 21 | 0 1 2 |
| 30.5 | 100 | 1 1 0 |
| 33.9 | 82 | 1 0 4 |
| 46.2 | 44 | 0 2 4 |
| 54.2 | 27 | 3 0 0 |
| 56.4 | 41 | 2 1 4 |
| 62.8 | 14 | 0 1 8 |
| 63.4 | 14 | 2 2 0 |
| 73.9 | 17 | 1 3 4 |
| 79.6 | 15 | 1 2 8 |

3.
Simulated PXRD pattern of TmPaPO for Cu Kα X-rays, from a GGA-PBE-relaxed structure.
Intensities are scaled so that the largest is 100.

Structural model:
Lattice parameters (Å, degrees): 4.119 7.602 5.765 90.00 90.00 90.00
Space group Pmc2_1 (No. 26)
Unique sites:
Tm 0.000 0.111 0.000 (multiplicity 2)
Pa 0.500 0.300 0.456 (multiplicity 2)
P 0.500 0.337 0.958 (multiplicity 2)
O 0.000 0.168 0.390 (multiplicity 2)

Principal peaks in the range 10 to 80 degrees two-theta, in order of rising 2θ:
| 2θ/deg | I (rel.) | (hkl) |
| --- | --- | --- |
| 24.6 | 49 | 1 1 0 |
| 28.1 | 45 | 0 2 1 |
| 29.1 | 100 | 1 1 1 |
| 31.0 | 48 | 0 0 2 |
| 32.0 | 23 | 1 2 0 |
| 38.8 | 23 | 0 3 1 |
| 40.0 | 24 | 1 1 2 |
| 41.9 | 24 | 1 3 0 |
| 44.0 | 20 | 2 0 0 |
| 53.0 | 44 | 1 3 2 |

4.
Simulated PXRD pattern of Rb3NaP2Au2 for Cu Kα X-rays, from a GGA-PBE-relaxed structure.
Intensities are scaled so that the largest is 100.

Structural model:
Lattice parameters (Å, degrees): 6.266 6.425 6.274 90.00 106.16 90.00
Space group Pm (No. 6)
Unique sites:
Rb 0.000 0.000 0.000 (multiplicity 1)
Rb 0.299 0.500 0.291 (multiplicity 1)
Rb 0.635 0.500 0.935 (multiplicity 1)
Na 0.327 0.000 0.615 (multiplicity 1)
P 0.072 0.500 0.713 (multiplicity 1)
P 0.567 0.000 0.265 (multiplicity 1)
Au 0.831 0.249 0.477 (multiplicity 2)

Principal peaks in the range 10 to 80 degrees two-theta, in order of rising 2θ:
| 2θ/deg | I (rel.) | (hkl) |
| --- | --- | --- |
| 14.7 | 100 | 1 0 0 |
| 17.7 | 28 | 1 0 -1 |
| 29.2 | 65 | 1 0 -2 |
| 29.7 | 28 | 0 0 2 |
| 31.6 | 72 | 0 2 1 |
| 33.1 | 36 | 1 2 -1 |
| 36.8 | 30 | 1 2 1 |
| 36.9 | 27 | 2 0 1 |
| 41.1 | 28 | 2 2 0 |
| 53.9 | 32 | 0 2 3 |

5.
Simulated PXRD pattern of Dy4Er3Te2Pd2 for Cu Kα X-rays, from a GGA-PBE-relaxed structure.
Intensities are scaled so that the largest is 100.

Structural model:
Lattice parameters (Å, degrees): 3.930 15.756 9.594 90.00 90.00 90.00
Space group Imm2 (No. 44)
Unique sites:
Dy 0.000 0.128 0.000 (multiplicity 4)
Dy 0.000 0.356 0.153 (multiplicity 4)
Er 0.000 0.000 0.417 (multiplicity 2)
Er 0.000 0.318 0.794 (multiplicity 4)
Te 0.000 0.000 0.753 (multiplicity 2)
Te 0.000 0.500 0.653 (multiplicity 2)
Pd 0.000 0.238 0.488 (multiplicity 4)

Principal peaks in the range 10 to 80 degrees two-theta, in order of rising 2θ:
| 2θ/deg | I (rel.) | (hkl) |
| --- | --- | --- |
| 28.4 | 19 | 1 3 0 |
| 28.5 | 14 | 0 1 3 |
| 29.9 | 69 | 1 1 2 |
| 32.8 | 60 | 0 3 3 |
| 33.5 | 100 | 1 4 1 |
| 34.1 | 61 | 0 6 0 |
| 36.2 | 21 | 1 0 3 |
| 38.0 | 22 | 1 2 3 |
| 46.2 | 28 | 2 0 0 |
| 57.8 | 24 | 2 3 3 |

6.
Simulated PXRD pattern of Zr4B3P for Cu Kα X-rays, from a GGA-PBE-relaxed structure.
Intensities are scaled so that the largest is 100.

Structural model:
Lattice parameters (Å, degrees): 3.4796 3.4796 24.0505 90.00 90.00 120.00
Space group P6_3/mmc (No. 194)
Unique sites:
Zr 0.0000 0.0000 0.1764 (multiplicity 4)
Zr 0.3333 0.6667 0.0592 (multiplicity 4)
B 0.0000 0.0000 0.0000 (multiplicity 2)
B 0.3333 0.6667 0.6201 (multiplicity 4)
P 0.3333 0.6667 0.2500 (multiplicity 2)

Principal peaks in the range 10 to 80 degrees two-theta, in order of rising 2θ:
| 2θ/deg | I (rel.) | (hkl) |
| --- | --- | --- |
| 29.7 | 45 | 0 0 8 |
| 29.9 | 15 | 1 0 1 |
| 30.6 | 62 | 1 0 2 |
| 31.7 | 26 | 1 0 3 |
| 35.1 | 61 | 1 0 5 |
| 37.3 | 100 | 1 0 6 |
| 51.7 | 15 | 1 0 11 |
| 52.6 | 47 | 1 1 0 |
| 61.6 | 28 | 1 1 8 |
| 66.3 | 23 | 2 0 6 |

7.
Simulated PXRD pattern of RbPrP3HO10 for Cu Kα X-rays, from a GGA-PBE-relaxed structure.
Intensities are scaled so that the largest is 100.

Structural model:
Lattice parameters (Å, degrees): 7.051 7.523 8.622 72.93 73.91 83.19
Space group P-1 (No. 2)
Unique sites:
Rb 0.205 0.186 0.026 (multiplicity 2)
Pr 0.230 0.134 0.507 (multiplicity 2)
P 0.137 0.530 0.651 (multiplicity 2)
P 0.320 0.795 0.344 (multiplicity 2)
P 0.330 0.720 0.822 (multiplicity 2)
H 0.307 0.676 0.089 (multiplicity 2)
O 0.041 0.343 0.325 (multiplicity 2)
O 0.113 0.324 0.697 (multiplicity 2)
O 0.132 0.923 0.371 (multiplicity 2)
O 0.201 0.891 0.771 (multiplicity 2)
O 0.255 0.619 0.013 (multiplicity 2)
O 0.261 0.583 0.456 (multiplicity 2)
O 0.290 0.556 0.748 (multiplicity 2)
O 0.400 0.785 0.166 (multiplicity 2)
O 0.450 0.254 0.233 (multiplicity 2)
O 0.461 0.855 0.425 (multiplicity 2)

Principal peaks in the range 10 to 80 degrees two-theta, in order of rising 2θ:
| 2θ/deg | I (rel.) | (hkl) |
| --- | --- | --- |
| 11.1 | 67 | 0 0 1 |
| 12.3 | 27 | 0 1 0 |
| 22.3 | 24 | 0 0 2 |
| 26.3 | 56 | 2 0 0 |
| 28.5 | 100 | 1 2 2 |
| 28.6 | 46 | 1 -2 0 |
| 28.7 | 33 | 2 1 0 |
| 29.1 | 57 | -1 1 2 |
| 30.0 | 50 | 2 0 2 |
| 42.0 | 29 | 1 2 -2 |

8.
Simulated PXRD pattern of NbCu3TeS3 for Cu Kα X-rays, from a GGA-PBE-relaxed structure.
Intensities are scaled so that the largest is 100.

Structural model:
Lattice parameters (Å, degrees): 8.0129 8.0129 9.4335 90.00 90.00 120.00
Space group R3m (No. 160, hexagonal axes)
Unique sites:
Nb 0.0000 0.0000 0.0000 (multiplicity 3)
Cu 0.1714 0.3428 0.8381 (multiplicity 9)
Te 0.0000 0.0000 0.7181 (multiplicity 3)
S 0.0188 0.5094 0.7516 (multiplicity 9)

Principal peaks in the range 10 to 80 degrees two-theta, in order of rising 2θ:
| 2θ/deg | I (rel.) | (hkl) |
| --- | --- | --- |
| 15.9 | 100 | 1 0 1 |
| 22.2 | 22 | 1 1 0 |
| 27.4 | 68 | 0 2 1 |
| 35.5 | 25 | 2 1 1 |
| 36.3 | 56 | 1 1 3 |
| 45.3 | 64 | 2 2 0 |
| 46.6 | 52 | 0 2 4 |
| 48.9 | 24 | 0 3 3 |
| 67.0 | 16 | 4 0 4 |
| 68.8 | 16 | 4 1 3 |

9.
Simulated PXRD pattern of Gd2DyFeNi8 for Cu Kα X-rays, from a GGA-PBE-relaxed structure.
Intensities are scaled so that the largest is 100.

Structural model:
Lattice parameters (Å, degrees): 4.9969 4.9969 24.2492 90.00 90.00 120.00
Space group R-3m (No. 166, hexagonal axes)
Unique sites:
Gd 0.0000 0.0000 0.1386 (multiplicity 6)
Dy 0.0000 0.0000 0.0000 (multiplicity 3)
Fe 0.0000 0.0000 0.5000 (multiplicity 3)
Ni 0.0000 0.0000 0.3332 (multiplicity 6)
Ni 0.0005 0.5003 0.9175 (multiplicity 18)

Principal peaks in the range 10 to 80 degrees two-theta, in order of rising 2θ:
| 2θ/deg | I (rel.) | (hkl) |
| --- | --- | --- |
| 33.1 | 52 | 1 0 7 |
| 35.9 | 56 | 1 1 0 |
| 36.2 | 43 | 0 1 8 |
| 41.9 | 43 | 0 2 1 |
| 42.5 | 100 | 1 1 6 |
| 45.9 | 16 | 2 0 5 |
| 62.8 | 17 | 2 1 7 |
| 64.8 | 15 | 1 2 8 |
| 69.2 | 37 | 3 0 6 |
| 76.2 | 23 | 2 2 0 |

10.
Simulated PXRD pattern of GaAuI3Br for Cu Kα X-rays, from a GGA-PBE-relaxed structure.
Intensities are scaled so that the largest is 100.

Structural model:
Lattice parameters (Å, degrees): 6.528 6.620 7.370 115.21 115.24 90.40
Space group P1 (No. 1)
Unique sites:
Ga 0.000 0.000 0.000 (multiplicity 1)
Au 0.142 0.657 0.426 (multiplicity 1)
I 0.117 0.635 0.781 (multiplicity 1)
I 0.362 0.349 0.245 (multiplicity 1)
I 0.894 0.930 0.279 (multiplicity 1)
Br 0.675 0.084 0.766 (multiplicity 1)

Principal peaks in the range 10 to 80 degrees two-theta, in order of rising 2θ:
| 2θ/deg | I (rel.) | (hkl) |
| --- | --- | --- |
| 15.4 | 70 | 1 0 0 |
| 15.5 | 31 | 0 1 -1 |
| 24.1 | 100 | 1 1 0 |
| 24.3 | 42 | -1 1 1 |
| 24.4 | 33 | 1 -1 1 |
| 24.8 | 56 | 1 1 -2 |
| 31.1 | 29 | 1 -2 0 |
| 38.6 | 30 | 2 -2 0 |
| 41.6 | 29 | 0 2 -3 |
| 41.7 | 29 | 2 0 -3 |

11.
Simulated PXRD pattern of Ga9Ni13 for Cu Kα X-rays, from a GGA-PBE-relaxed structure.
Intensities are scaled so that the largest is 100.

Structural model:
Lattice parameters (Å, degrees): 9.972 7.904 8.492 90.00 125.52 90.00
Space group C2/m (No. 12)
Unique sites:
Ga 0.000 0.000 0.000 (multiplicity 2)
Ga 0.039 0.289 0.809 (multiplicity 8)
Ga 0.170 0.500 0.613 (multiplicity 4)
Ga 0.208 0.000 0.667 (multiplicity 4)
Ni 0.000 0.240 0.500 (multiplicity 4)
Ni 0.000 0.500 0.000 (multiplicity 2)
Ni 0.051 0.000 0.321 (multiplicity 4)
Ni 0.196 0.238 0.161 (multiplicity 8)
Ni 0.242 0.000 0.987 (multiplicity 4)
Ni 0.250 0.250 0.500 (multiplicity 4)

Principal peaks in the range 10 to 80 degrees two-theta, in order of rising 2θ:
| 2θ/deg | I (rel.) | (hkl) |
| --- | --- | --- |
| 40.5 | 14 | 1 3 -2 |
| 44.7 | 18 | 4 0 0 |
| 44.9 | 77 | 4 2 -1 |
| 45.0 | 74 | 4 0 -4 |
| 45.6 | 100 | 0 2 3 |
| 45.9 | 49 | 0 4 0 |
| 65.5 | 10 | 4 0 2 |
| 66.0 | 13 | 4 0 -6 |
| 66.3 | 17 | 4 4 -4 |
| 76.4 | 11 | 8 0 -4 |

12.
Simulated PXRD pattern of TlCu9 for Cu Kα X-rays, from a GGA-PBE-relaxed structure.
Intensities are scaled so that the largest is 100.

Structural model:
Lattice parameters (Å, degrees): 2.705 2.705 45.053 90.00 90.00 90.00
Space group P4/nmm (No. 129, origin choice 2)
Unique sites:
Tl 0.250 0.250 0.138 (multiplicity 2)
Cu 0.250 0.250 0.229 (multiplicity 2)
Cu 0.250 0.250 0.301 (multiplicity 2)
Cu 0.250 0.250 0.374 (multiplicity 2)
Cu 0.250 0.250 0.446 (multiplicity 2)
Cu 0.250 0.250 0.518 (multiplicity 2)
Cu 0.250 0.250 0.590 (multiplicity 2)
Cu 0.250 0.250 0.662 (multiplicity 2)
Cu 0.250 0.250 0.735 (multiplicity 2)
Cu 0.250 0.250 0.808 (multiplicity 2)

Principal peaks in the range 10 to 80 degrees two-theta, in order of rising 2θ:
| 2θ/deg | I (rel.) | (hkl) |
| --- | --- | --- |
| 13.8 | 28 | 0 0 7 |
| 33.4 | 18 | 1 0 2 |
| 35.3 | 19 | 1 0 6 |
| 37.8 | 23 | 1 0 9 |
| 38.8 | 20 | 1 0 10 |
| 41.1 | 27 | 1 0 12 |
| 42.4 | 100 | 1 0 13 |
| 43.7 | 84 | 1 0 14 |
| 47.5 | 83 | 1 1 0 |
| 69.5 | 25 | 2 0 0 |